No. 1
Starting from a cell relaxed with PBE, the PXRD pattern of Nd2Dy5Ni2 was computed for copper Kα.
Lines closer than 0.1° are merged.

Peak list (6 most intense, 2θ from 10° to 90°, most intense first)
2θ/deg, Rel. int.
31.1, 100
36.3, 61
28.5, 47
33.6, 35
58.5, 33
35.6, 21

Cell and atoms:
a b c (Å): 20.198 7.021 7.000
angles (deg): 90.00 90.00 90.00
Space group Cmce (No. 64)
Asymmetric unit:
Nd  0.231  0.000  0.000 [8 per cell]
Dy  0.000  0.000  0.000 [4 per cell]
Dy  0.106  0.176  0.327 [16 per cell]
Ni  0.000  0.122  0.621 [8 per cell]

***

No. 2
Starting from a cell relaxed with PBE, the PXRD pattern of Pm10PrHo6 was computed for copper Kα.
Lines closer than 0.1° are merged.

Peak list (6 most intense, 2θ from 10° to 90°, most intense first)
2θ/deg, Rel. int.
31.7, 100
31.6, 81
30.7, 40
45.3, 26
56.3, 25
56.6, 18

Cell and atoms:
a b c (Å): 9.8226 9.8226 6.8952
angles (deg): 90.00 90.00 120.00
Space group P-31m (No. 162)
Asymmetric unit:
Pm  0.0000  0.2775  0.3187 [6 per cell]
Pm  0.3333  0.6667  0.0000 [2 per cell]
Pm  0.3333  0.6667  0.5000 [2 per cell]
Pr  0.0000  0.0000  0.0000 [1 per cell]
Ho  0.0000  0.3720  0.8086 [6 per cell]

***

No. 3
Starting from a cell relaxed with PBE, the PXRD pattern of Be2CrCd was computed for copper Kα.
Lines closer than 0.1° are merged.

Peak list (6 most intense, 2θ from 10° to 90°, most intense first)
2θ/deg, Rel. int.
30.6, 100
40.2, 91
42.4, 50
19.1, 39
31.9, 38
45.9, 25

Cell and atoms:
a b c (Å): 3.757 2.938 9.293
angles (deg): 90.00 90.00 90.00
Space group Amm2 (No. 38)
Asymmetric unit:
Be  0.000  0.000  0.000 [2 per cell]
Be  0.500  0.000  0.125 [2 per cell]
Cr  0.500  0.000  0.423 [2 per cell]
Cd  0.000  0.000  0.732 [2 per cell]

***

No. 4
Starting from a cell relaxed with PBE, the PXRD pattern of ThBe3Si3 was computed for copper Kα.
Lines closer than 0.1° are merged.

Peak list (6 most intense, 2θ from 10° to 90°, most intense first)
2θ/deg, Rel. int.
20.7, 100
36.2, 97
56.6, 54
29.4, 42
47.3, 25
42.0, 17

Cell and atoms:
a b c (Å): 6.083 6.083 6.083
angles (deg): 90.00 90.00 90.00
Space group Pm-3n (No. 223)
Asymmetric unit:
Th  0.000  0.000  0.000 [2 per cell]
Be  0.000  0.250  0.500 [6 per cell]
Si  0.000  0.500  0.250 [6 per cell]

***

No. 5
Starting from a cell relaxed with PBE, the PXRD pattern of InCl was computed for copper Kα.
Lines closer than 0.1° are merged.

Peak list (6 most intense, 2θ from 10° to 90°, most intense first)
2θ/deg, Rel. int.
22.6, 100
35.0, 80
22.0, 71
35.8, 61
28.0, 47
28.1, 43

Cell and atoms:
a b c (Å): 4.204 14.977 6.381
angles (deg): 90.00 90.00 90.00
Space group Imm2 (No. 44)
Asymmetric unit:
In  0.000  0.000  0.000 [2 per cell]
In  0.000  0.156  0.543 [4 per cell]
Cl  0.000  0.204  0.093 [4 per cell]
Cl  0.000  0.500  0.811 [2 per cell]

***

No. 6
Starting from a cell relaxed with PBE, the PXRD pattern of TmBeAl2Pd4 was computed for copper Kα.
Lines closer than 0.1° are merged.

Peak list (6 most intense, 2θ from 10° to 90°, most intense first)
2θ/deg, Rel. int.
42.3, 100
35.6, 72
38.5, 61
30.4, 47
25.2, 27
73.6, 26

Cell and atoms:
a b c (Å): 4.2685 4.2685 24.1986
angles (deg): 90.00 90.00 120.00
Space group R-3m (No. 166, hexagonal axes)
Asymmetric unit:
Tm  0.0000  0.0000  0.0000 [3 per cell]
Be  0.0000  0.0000  0.5000 [3 per cell]
Al  0.0000  0.0000  0.2411 [6 per cell]
Pd  0.0000  0.0000  0.1338 [6 per cell]
Pd  0.0000  0.0000  0.4034 [6 per cell]

***

No. 7
Starting from a cell relaxed with PBE, the PXRD pattern of Nd2Tm5Bi3C2 was computed for copper Kα.
Lines closer than 0.1° are merged.

Peak list (6 most intense, 2θ from 10° to 90°, most intense first)
2θ/deg, Rel. int.
33.4, 100
37.4, 51
29.6, 35
64.9, 30
51.5, 23
34.1, 18

Cell and atoms:
a b c (Å): 4.808 4.808 26.256
angles (deg): 90.00 90.00 90.00
Space group I4/mmm (No. 139)
Asymmetric unit:
Nd  0.000  0.000  0.194 [4 per cell]
Tm  0.000  0.000  0.000 [2 per cell]
Tm  0.000  0.500  0.092 [8 per cell]
Bi  0.000  0.000  0.322 [4 per cell]
Bi  0.000  0.000  0.500 [2 per cell]
C  0.000  0.000  0.091 [4 per cell]

***

No. 8
Starting from a cell relaxed with PBE, the PXRD pattern of AcLa3TbEr was computed for copper Kα.
Lines closer than 0.1° are merged.

Peak list (6 most intense, 2θ from 10° to 90°, most intense first)
2θ/deg, Rel. int.
29.4, 100
33.8, 35
57.8, 30
49.2, 18
34.6, 16
58.9, 14

Cell and atoms:
a b c (Å): 8.217 5.301 10.599
angles (deg): 90.00 108.88 90.00
Space group P2_1/m (No. 11)
Asymmetric unit:
Ac  0.174  0.250  0.294 [2 per cell]
La  0.173  0.750  0.041 [2 per cell]
La  0.173  0.750  0.546 [2 per cell]
La  0.175  0.250  0.793 [2 per cell]
Tb  0.498  0.750  0.876 [2 per cell]
Er  0.498  0.250  0.627 [2 per cell]

***

No. 9
Starting from a cell relaxed with PBE, the PXRD pattern of AgSnCl5 was computed for copper Kα.
Lines closer than 0.1° are merged.

Peak list (6 most intense, 2θ from 10° to 90°, most intense first)
2θ/deg, Rel. int.
17.2, 100
21.3, 78
27.5, 46
44.0, 31
35.1, 28
31.1, 25

Cell and atoms:
a b c (Å): 8.326 8.348 6.591
angles (deg): 90.00 90.00 90.00
Space group Imm2 (No. 44)
Asymmetric unit:
Ag  0.000  0.000  0.000 [2 per cell]
Sn  0.000  0.500  0.848 [2 per cell]
Cl  0.000  0.225  0.725 [4 per cell]
Cl  0.000  0.500  0.203 [2 per cell]
Cl  0.208  0.000  0.300 [4 per cell]

***

No. 10
Starting from a cell relaxed with PBE, the PXRD pattern of Y2Au5F21 was computed for copper Kα.
Lines closer than 0.1° are merged.

Peak list (6 most intense, 2θ from 10° to 90°, most intense first)
2θ/deg, Rel. int.
23.9, 100
22.1, 79
26.6, 39
26.4, 33
25.0, 30
26.5, 28

Cell and atoms:
a b c (Å): 9.248 8.119 15.116
angles (deg): 90.00 126.83 90.00
Space group P2/c (No. 13)
Asymmetric unit:
Y  0.186  0.165  0.002 [4 per cell]
Au  0.126  0.332  0.405 [4 per cell]
Au  0.307  0.064  0.794 [4 per cell]
Au  0.500  0.488  0.750 [2 per cell]
F  0.000  0.000  0.000 [2 per cell]
F  0.026  0.324  0.042 [4 per cell]
F  0.082  0.176  0.678 [4 per cell]
F  0.118  0.427  0.912 [4 per cell]
F  0.139  0.090  0.396 [4 per cell]
F  0.259  0.346  0.345 [4 per cell]
F  0.302  0.202  0.900 [4 per cell]
F  0.310  0.078  0.190 [4 per cell]
F  0.402  0.344  0.131 [4 per cell]
F  0.404  0.317  0.639 [4 per cell]
F  0.460  0.030  0.083 [4 per cell]

***

No. 11
Starting from a cell relaxed with PBE, the PXRD pattern of HoTlReO6 was computed for copper Kα.
Lines closer than 0.1° are merged.

Peak list (6 most intense, 2θ from 10° to 90°, most intense first)
2θ/deg, Rel. int.
25.7, 100
32.1, 51
49.1, 42
53.4, 27
41.5, 27
57.1, 14

Cell and atoms:
a b c (Å): 5.5833 5.5833 4.9663
angles (deg): 90.00 90.00 120.00
Space group P312 (No. 149)
Asymmetric unit:
Ho  0.0000  0.0000  0.0000 [1 per cell]
Tl  0.6667  0.3333  0.5000 [1 per cell]
Re  0.3333  0.6667  0.0000 [1 per cell]
O  0.0603  0.3757  0.2175 [6 per cell]

***

No. 12
Starting from a cell relaxed with PBE, the PXRD pattern of TeP5Pb2 was computed for copper Kα.
Lines closer than 0.1° are merged.

Peak list (6 most intense, 2θ from 10° to 90°, most intense first)
2θ/deg, Rel. int.
26.4, 100
21.7, 85
30.4, 58
28.1, 39
21.1, 35
32.8, 33

Cell and atoms:
a b c (Å): 12.249 8.180 9.469
angles (deg): 90.00 116.96 90.00
Space group Cc (No. 9)
Asymmetric unit:
Te  0.000  0.025  0.000 [4 per cell]
P  0.005  0.243  0.662 [4 per cell]
P  0.108  0.213  0.237 [4 per cell]
P  0.193  0.288  0.825 [4 per cell]
P  0.442  0.241  0.764 [4 per cell]
P  0.491  0.081  0.968 [4 per cell]
Pb  0.231  0.450  0.122 [4 per cell]
Pb  0.270  0.009  0.492 [4 per cell]